The following is a theoretical XRD peak list of Fe2Ir2O5. It was derived from a structure optimized by DFT (PBE+U), using Cu Ka.
Neutral-atom scattering factors, no anomalous dispersion.

Peak list (6 most intense, 2θ from 10° to 90°, low angle first)
2θ/deg, d [Å], intensity, hkl
25.73, 3.463, 24, 1 0 0
33.41, 2.682, 100, 1 0 2
36.70, 2.449, 34, 1 1 0
42.65, 2.120, 31, 0 0 4
57.51, 1.603, 35, 1 1 4
64.01, 1.455, 31, 2 1 2

Structure:
```
data_Fe2Ir2O5
_chemical_formula_sum 'Fe2 Ir2 O5'
_cell_length_a 3.4627
_cell_length_b 3.4627
_cell_length_c 8.4785
_cell_angle_alpha 90.00
_cell_angle_beta 90.00
_cell_angle_gamma 90.00
_space_group_name_H-M_alt 'P 4/m m m'
_space_group_IT_number 123
_space_group_name_Hall '-P 4 2'
loop_
_atom_site_label
_atom_site_type_symbol
_atom_site_fract_x
_atom_site_fract_y
_atom_site_fract_z
Fe1 Fe 0.0000 0.0000 0.2297
Ir1 Ir 0.5000 0.5000 0.0000
Ir2 Ir 0.5000 0.5000 0.5000
O1 O 0.0000 0.0000 0.0000
O2 O 0.0000 0.5000 0.3584
```